Diffraction record for Cs6Si2O7. The powder diffraction line list is calculated, not measured: it uses a structure optimized by DFT (GGA-PBE) and Cu Kα (λ = 1.5418 Å).

Main lines, sorted by position (10° ≤ 2θ ≤ 80°):
25.89°, d = 3.441 Å, I = 735
26.14°, d = 3.409 Å, I = 892
27.69°, d = 3.221 Å, I = 790
28.69°, d = 3.112 Å, I = 512
29.23°, d = 3.055 Å, I = 725
29.91°, d = 2.987 Å, I = 1000
31.35°, d = 2.854 Å, I = 774
35.57°, d = 2.524 Å, I = 460

Structural model:
abc: 7.290 9.644 12.233
angles: 90.00 126.57 90.00
Element x y z (fractional)
Cs 0.021 0.144 0.403
Cs 0.021 0.356 0.903
Cs 0.206 0.527 0.455
Cs 0.206 0.973 0.955
Cs 0.389 0.224 0.273
Cs 0.389 0.276 0.773
Cs 0.611 0.724 0.227
Cs 0.611 0.776 0.727
Cs 0.794 0.027 0.045
Cs 0.794 0.473 0.545
Cs 0.979 0.644 0.097
Cs 0.979 0.856 0.597
Si 0.341 0.628 0.882
Si 0.341 0.872 0.382
Si 0.659 0.128 0.618
Si 0.659 0.372 0.118
O 0.110 0.654 0.876
O 0.110 0.846 0.376
O 0.277 0.576 0.735
O 0.277 0.924 0.235
O 0.495 0.231 0.062
O 0.495 0.269 0.562
O 0.500 0.000 0.500
O 0.500 0.500 0.000
O 0.505 0.731 0.438
O 0.505 0.769 0.938
O 0.723 0.076 0.765
O 0.723 0.424 0.265
O 0.890 0.154 0.624
O 0.890 0.346 0.124


Diffraction record for Cs2ThSi6O15. The powder diffraction line list is calculated, not measured: it uses a structure optimized by DFT (GGA-PBE) and Cu Kα (λ = 1.5418 Å).

Main lines, sorted by position (10° ≤ 2θ ≤ 80°):
12.35°, d = 7.166 Å, I = 602
20.90°, d = 4.250 Å, I = 494
22.16°, d = 4.011 Å, I = 302
23.35°, d = 3.810 Å, I = 1000
27.03°, d = 3.299 Å, I = 748
29.02°, d = 3.077 Å, I = 400
32.76°, d = 2.734 Å, I = 328
41.73°, d = 2.164 Å, I = 322

Structural model:
abc: 9.171 9.171 13.806
angles: 90.00 90.00 132.20
Element x y z (fractional)
Cs 0.113 0.887 0.500
Cs 0.223 0.777 0.190
Cs 0.777 0.223 0.690
Cs 0.887 0.113 0.000
Th 0.369 0.631 0.842
Th 0.631 0.369 0.342
Si 0.022 0.389 0.416
Si 0.172 0.258 0.266
Si 0.258 0.172 0.766
Si 0.359 0.641 0.572
Si 0.389 0.022 0.916
Si 0.453 0.547 0.097
Si 0.547 0.453 0.597
Si 0.611 0.978 0.416
Si 0.641 0.359 0.072
Si 0.742 0.828 0.266
Si 0.828 0.742 0.766
Si 0.978 0.611 0.916
O 0.052 0.948 0.739
O 0.054 0.510 0.872
O 0.145 0.499 0.517
O 0.157 0.390 0.338
O 0.160 0.840 0.951
O 0.224 0.309 0.811
O 0.256 0.379 0.163
O 0.309 0.224 0.311
O 0.331 0.669 0.683
O 0.379 0.256 0.663
O 0.390 0.157 0.838
O 0.392 0.608 0.008
O 0.455 0.545 0.559
O 0.490 0.946 0.872
O 0.499 0.145 0.017
O 0.501 0.855 0.517
O 0.510 0.054 0.372
O 0.545 0.455 0.059
O 0.608 0.392 0.508
O 0.610 0.843 0.338
O 0.621 0.744 0.163
O 0.669 0.331 0.183
O 0.691 0.776 0.811
O 0.744 0.621 0.663
O 0.776 0.691 0.311
O 0.840 0.160 0.451
O 0.843 0.610 0.838
O 0.855 0.501 0.017
O 0.946 0.490 0.372
O 0.948 0.052 0.239


Diffraction record for Cs2TiSi6O15. The powder diffraction line list is calculated, not measured: it uses a structure optimized by DFT (GGA-PBE) and Cu Kα (λ = 1.5418 Å).

Main lines, sorted by position (10° ≤ 2θ ≤ 80°):
23.82°, d = 3.735 Å, I = 650
24.17°, d = 3.682 Å, I = 323
24.34°, d = 3.657 Å, I = 211
26.08°, d = 3.417 Å, I = 1000
28.16°, d = 3.169 Å, I = 796
33.77°, d = 2.654 Å, I = 347
35.35°, d = 2.539 Å, I = 363
49.56°, d = 1.839 Å, I = 275

Structural model:
abc: 7.781 7.781 15.487
angles: 105.69 105.69 58.02
Element x y z (fractional)
Cs 0.124 0.642 0.590
Cs 0.358 0.876 0.910
Cs 0.642 0.124 0.090
Cs 0.876 0.358 0.410
Ti 0.000 0.500 0.000
Ti 0.500 0.000 0.500
Si 0.104 0.249 0.166
Si 0.229 0.766 0.354
Si 0.234 0.771 0.146
Si 0.249 0.104 0.666
Si 0.305 0.384 0.856
Si 0.384 0.305 0.356
Si 0.616 0.695 0.644
Si 0.695 0.616 0.144
Si 0.751 0.896 0.334
Si 0.766 0.229 0.854
Si 0.771 0.234 0.646
Si 0.896 0.751 0.834
O 0.011 0.156 0.641
O 0.083 0.700 0.075
O 0.145 0.615 0.828
O 0.156 0.011 0.141
O 0.160 0.313 0.092
O 0.214 0.293 0.269
O 0.247 0.753 0.250
O 0.251 0.356 0.943
O 0.293 0.214 0.769
O 0.300 0.917 0.425
O 0.313 0.160 0.592
O 0.356 0.251 0.443
O 0.367 0.531 0.378
O 0.385 0.855 0.672
O 0.469 0.633 0.122
O 0.531 0.367 0.878
O 0.615 0.145 0.328
O 0.633 0.469 0.622
O 0.644 0.749 0.557
O 0.687 0.840 0.408
O 0.700 0.083 0.575
O 0.707 0.786 0.231
O 0.749 0.644 0.057
O 0.753 0.247 0.750
O 0.786 0.707 0.731
O 0.840 0.687 0.908
O 0.844 0.989 0.859
O 0.855 0.385 0.172
O 0.917 0.300 0.925
O 0.989 0.844 0.359